Entry 1:
# Ca2FeRhO6
Calculated PXRD pattern, Cu Kα X-rays. Input: the PBE+U geometry in the Materials Project.
Intensities are scaled so that the largest is 100.

Cell and atoms:
```
data_Ca2FeRhO6
_chemical_formula_sum 'Ca8 Fe4 Rh4 O24'
_cell_length_a 9.0529
_cell_length_b 9.3043
_cell_length_c 6.3609
_cell_angle_alpha 90.00
_cell_angle_beta 93.86
_cell_angle_gamma 90.00
_space_group_name_H-M_alt 'C 1 2 1'
_space_group_IT_number 5
loop_
_space_group_symop_operation_xyz
'x,y,z'
'-x,y,-z'
'x+1/2,y+1/2,z'
'-x+1/2,y+1/2,-z'
loop_
_atom_site_label
_atom_site_type_symbol
_atom_site_fract_x
_atom_site_fract_y
_atom_site_fract_z
_atom_site_occupancy
Ca1 Ca 0.0000 0.0000 0.0000 1
Ca2 Ca 0.0000 0.2371 0.5000 1
Ca3 Ca 0.1784 0.5618 0.6371 1
Fe1 Fe 0.0000 0.3712 0.0000 1
Fe2 Fe 0.0000 0.8709 0.5000 1
Rh1 Rh 0.2481 0.3730 0.2468 1
O1 O 0.0463 0.4588 0.2930 1
O2 O 0.0573 0.7766 0.7726 1
O3 O 0.1146 0.2028 0.1678 1
O4 O 0.1174 0.0330 0.6490 1
O5 O 0.2175 0.4379 0.9580 1
O6 O 0.2264 0.8106 0.4608 1
```

Main lines, sorted by position (2θ = 10–90°):
2θ (°)  I (rel.)  h k l
19.09  100  0 2 0
20.05  15  1 1 1
33.38  45  2 0 -2
39.92  9  4 0 0
40.75  13  2 2 2
44.60  13  4 2 0
44.97  13  3 3 1
45.75  10  1 1 3
52.02  9  1 5 -1
53.99  7  1 3 3
60.22  6  5 3 -1
70.12  8  4 0 -4

Entry 2:
# LiCrSi2O6
Calculated PXRD pattern, Cu Kα X-rays. Input: the PBE+U geometry in the Materials Project.
Intensities are scaled so that the largest is 100.

Cell and atoms:
```
data_LiCrSi2O6
_chemical_formula_sum 'Li4 Cr4 Si8 O24'
_cell_length_a 9.7476
_cell_length_b 8.7289
_cell_length_c 5.3554
_cell_angle_alpha 90.00
_cell_angle_beta 110.63
_cell_angle_gamma 90.00
_space_group_name_H-M_alt 'C 1 2/c 1'
_space_group_IT_number 15
loop_
_space_group_symop_operation_xyz
'x,y,z'
'-x,-y,-z'
'-x,y,-z+1/2'
'x,-y,z+1/2'
'x+1/2,y+1/2,z'
'-x+1/2,-y+1/2,-z'
'-x+1/2,y+1/2,-z+1/2'
'x+1/2,-y+1/2,z+1/2'
loop_
_atom_site_label
_atom_site_type_symbol
_atom_site_fract_x
_atom_site_fract_y
_atom_site_fract_z
_atom_site_occupancy
Li1 Li 0.0000 0.2409 0.2500 1
Cr1 Cr 0.0000 0.4070 0.7500 1
Si1 Si 0.2019 0.0909 0.7339 1
O1 O 0.1160 0.4146 0.1494 1
O2 O 0.1307 0.2593 0.6708 1
O3 O 0.1443 0.0022 0.4445 1
```

Main lines, sorted by position (2θ = 10–90°):
2θ (°)  I (rel.)  h k l
14.04  52  1 1 0
19.76  29  1 1 -1
20.35  36  0 2 0
25.25  35  1 1 1
29.57  100  2 2 -1
31.15  65  3 1 0
35.83  33  0 0 2
37.20  22  2 2 1
41.91  18  1 1 2
46.95  18  2 4 -1
55.63  18  2 2 -3
56.85  22  5 3 -1

Entry 3:
# BaCaW4O8
Calculated PXRD pattern, Cu Kα X-rays. Input: the PBE+U geometry in the Materials Project.
Intensities are scaled so that the largest is 100.

Cell and atoms:
```
data_BaCaW4O8
_chemical_formula_sum 'Ba1 Ca1 W4 O8'
_cell_length_a 5.8691
_cell_length_b 5.8691
_cell_length_c 7.5196
_cell_angle_alpha 90.00
_cell_angle_beta 90.00
_cell_angle_gamma 120.00
_space_group_name_H-M_alt 'P -3 1 m'
_space_group_IT_number 162
_space_group_name_Hall '-P 3 2'
loop_
_atom_site_label
_atom_site_type_symbol
_atom_site_fract_x
_atom_site_fract_y
_atom_site_fract_z
_atom_site_occupancy
Ba1 Ba 0.0000 0.0000 0.0000 1
Ca1 Ca 0.0000 0.0000 0.5000 1
W1 W 0.3333 0.6667 0.2736 1
O1 O 0.0000 0.3032 0.2946 1
O2 O 0.3333 0.6667 0.0000 1
```

Main lines, sorted by position (2θ = 10–90°):
2θ (°)  I (rel.)  h k l
17.45  18  1 0 0
23.66  26  0 0 2
29.55  68  1 0 2
30.46  100  1 1 0
38.93  27  2 -1 2
42.96  27  2 0 2
47.72  12  1 1 3
53.57  28  2 1 2
54.13  26  3 0 0
58.29  25  2 -1 4
63.39  13  2 2 0
75.55  13  3 0 4

Entry 4:
# YCrO2
Calculated PXRD pattern, Cu Kα X-rays. Input: the PBE+U geometry in the Materials Project.
Intensities are scaled so that the largest is 100.

Cell and atoms:
```
data_YCrO2
_chemical_formula_sum 'Y8 Cr8 O16'
_cell_length_a 6.1263
_cell_length_b 6.1263
_cell_length_c 11.7767
_cell_angle_alpha 90.00
_cell_angle_beta 90.00
_cell_angle_gamma 90.00
_space_group_name_H-M_alt 'I 41/a m d'
_space_group_IT_number 141
loop_
_space_group_symop_operation_xyz
'x,y,z'
'-x,-y,-z'
'-y+1/4,x+3/4,z+1/4'
'y+1/4,-x+3/4,-z+1/4'
'-x+1/2,-y,z+1/2'
'x+1/2,y,-z+1/2'
'y+1/4,-x+1/4,z+3/4'
'-y+1/4,x+1/4,-z+3/4'
'x,-y,-z'
'-x,y,z'
'-y+1/4,-x+1/4,-z+3/4'
'y+1/4,x+1/4,z+3/4'
'-x+1/2,y,-z+1/2'
'x+1/2,-y,z+1/2'
'y+1/4,x+3/4,-z+1/4'
'-y+1/4,-x+3/4,z+1/4'
'x+1/2,y+1/2,z+1/2'
'-x+1/2,-y+1/2,-z+1/2'
'-y+3/4,x+1/4,z+3/4'
'y+3/4,-x+1/4,-z+3/4'
'-x,-y+1/2,z'
'x,y+1/2,-z'
'y+3/4,-x+3/4,z+1/4'
'-y+3/4,x+3/4,-z+1/4'
'x+1/2,-y+1/2,-z+1/2'
'-x+1/2,y+1/2,z+1/2'
'-y+3/4,-x+3/4,-z+1/4'
'y+3/4,x+3/4,z+1/4'
'-x,y+1/2,-z'
'x,-y+1/2,z'
'y+3/4,x+1/4,-z+3/4'
'-y+3/4,-x+1/4,z+3/4'
loop_
_atom_site_label
_atom_site_type_symbol
_atom_site_fract_x
_atom_site_fract_y
_atom_site_fract_z
_atom_site_occupancy
Y1 Y 0.0000 0.0000 0.0000 1
Cr1 Cr 0.0000 0.0000 0.5000 1
O1 O 0.0000 0.0285 0.2029 1
```

Main lines, sorted by position (2θ = 10–90°):
2θ (°)  I (rel.)  h k l
16.31  17  1 0 1
30.36  57  0 0 4
32.96  100  2 0 2
41.70  56  2 2 0
52.45  44  2 2 4
55.61  34  2 0 6
60.44  16  4 0 0
69.14  18  4 0 4
70.59  22  4 2 2
78.56  9  2 2 8
86.67  18  4 2 6
89.07  10  2 0 10